For Ba3VO4, a crystal structure in Alexandria, relaxed with GGA+U gives the calculated PXRD pattern in this record (Cu Kα (weighted mean of Kα1 and Kα2)).
Kinematic intensities with the Lorentz-polarization factor, no thermal factor.

Main lines, low angle first (2θ = 10–90°):
2θ 28.30, I = 82, hkl 0 2 2
2θ 29.97, I = 93, hkl 2 2 0
2θ 30.54, I = 19, hkl 0 3 1
2θ 31.19, I = 100, hkl 2 0 2
2θ 38.50, I = 37, hkl 0 4 0
2θ 42.34, I = 19, hkl 0 0 4
2θ 46.95, I = 18, hkl 4 0 0
2θ 50.35, I = 36, hkl 2 4 2
2θ 52.74, I = 26, hkl 2 2 4
2θ 55.74, I = 23, hkl 4 2 2

Crystal structure
```
Ba3VO4
1.0
7.740 0.000 0.000
0.000 9.355 0.000
0.000 0.000 8.539
Ba V O
12 4 16
Direct
0.003 0.027 0.239
0.003 0.473 0.239
0.223 0.250 0.542
0.277 0.750 0.042
0.497 0.527 0.739
0.497 0.973 0.739
0.503 0.027 0.261
0.503 0.473 0.261
0.723 0.250 0.958
0.777 0.750 0.458
0.997 0.527 0.761
0.997 0.973 0.761
0.223 0.750 0.503
0.277 0.250 0.003
0.723 0.750 0.997
0.777 0.250 0.497
0.102 0.750 0.311
0.239 0.250 0.227
0.245 0.531 0.503
0.245 0.969 0.503
0.255 0.031 0.003
0.255 0.469 0.003
0.261 0.750 0.727
0.398 0.250 0.811
0.602 0.750 0.189
0.739 0.250 0.273
0.745 0.531 0.997
0.745 0.969 0.997
0.755 0.031 0.497
0.755 0.469 0.497
0.761 0.750 0.773
0.898 0.250 0.689
```